Record 1
For V7ReB5, a DFT-relaxed cell (PBE, Alexandria) gives the simulated powder diffraction line list in this record (Cu Kα).
Kinematic intensities with the Lorentz-polarization factor, no thermal factor.

Largest 10 diffraction maxima, in order of falling intensity, 5 to 70 degrees two-theta:
2θ (°)  I_rel  hkl
39.5  100  1 3 0
46.8  95  0 4 0
37.5  92  2 0 0
38.3  83  0 1 3
16.5  71  0 1 1
47.6  66  1 2 3
54.6  59  2 1 3
32.0  57  1 2 1
22.1  56  1 0 1
21.8  53  1 1 0

Cell and atoms:
Lattice parameters (Å, degrees): 4.8014 7.7717 7.3973 90.00 90.00 90.00
Space group Imm2 (No. 44)
One atom of each set of equivalent atoms:
V  0.0000  0.0000  0.0000 (multiplicity 2)
V  0.0000  0.0000  0.3320 (multiplicity 2)
V  0.0000  0.3182  0.2188 (multiplicity 4)
V  0.0000  0.3200  0.7703 (multiplicity 4)
V  0.0000  0.5000  0.4952 (multiplicity 2)
Re  0.0000  0.0000  0.6583 (multiplicity 2)
B  0.0000  0.5000  0.9947 (multiplicity 2)
B  0.1818  0.2306  0.4939 (multiplicity 8)

---

Record 2
For AcPm3Ru, a DFT-relaxed cell (PBE, Alexandria) gives the simulated powder diffraction line list in this record (Cu Kα).
Kinematic intensities with the Lorentz-polarization factor, no thermal factor.

Largest 10 diffraction maxima, in order of falling intensity, 5 to 70 degrees two-theta:
2θ (°)  I_rel  hkl
29.4  100  2 2 -2
28.7  77  0 0 2
28.4  67  2 2 0
31.3  57  4 0 -1
33.2  35  3 1 -3
32.7  32  1 3 -1
37.7  30  2 2 1
33.1  28  4 0 -3
41.7  22  0 4 0
48.5  21  5 3 -2

Cell and atoms:
Lattice parameters (Å, degrees): 12.4472 8.6643 8.5160 90.00 133.03 90.00
Space group C2/m (No. 12)
One atom of each set of equivalent atoms:
Ac  0.0507  0.0000  0.3303 (multiplicity 4)
Pm  0.0477  0.5000  0.2484 (multiplicity 4)
Pm  0.2417  0.2961  0.7881 (multiplicity 8)
Ru  0.2480  0.5000  0.0994 (multiplicity 4)

---

Record 3
For Dy3Ge13Ru4, a DFT-relaxed cell (PBE, Alexandria) gives the simulated powder diffraction line list in this record (Cu Kα).
Kinematic intensities with the Lorentz-polarization factor, no thermal factor.

Largest 10 diffraction maxima, in order of falling intensity, 5 to 70 degrees two-theta:
2θ (°)  I_rel  hkl
35.8  100  3 2 0
37.2  38  3 2 1
39.9  34  4 0 0
34.4  21  2 2 2
68.9  20  6 2 2
49.4  20  4 2 2
22.0  16  2 1 0
63.4  15  5 3 2
59.6  13  4 3 3
41.2  11  4 1 0

Cell and atoms:
Lattice parameters (Å, degrees): 9.0395 9.0395 9.0395 90.00 90.00 90.00
Space group Pm-3n (No. 223)
One atom of each set of equivalent atoms:
Dy  0.0000  0.2500  0.5000 (multiplicity 6)
Ge  0.0000  0.0000  0.0000 (multiplicity 2)
Ge  0.0000  0.3014  0.1475 (multiplicity 24)
Ru  0.2500  0.2500  0.2500 (multiplicity 8)

---

Record 4
For NdMn3Si3, a DFT-relaxed cell (PBE, Alexandria) gives the simulated powder diffraction line list in this record (Cu Kα).
Kinematic intensities with the Lorentz-polarization factor, no thermal factor.

Largest 10 diffraction maxima, in order of falling intensity, 5 to 70 degrees two-theta:
2θ (°)  I_rel  hkl
34.6  100  2 1 1
54.0  54  3 2 1
28.1  44  2 0 0
58.1  16  4 0 0
65.7  15  4 2 0
69.4  13  3 3 2
19.8  12  1 1 0
31.5  7  2 1 0
45.1  3  3 1 0
49.7  2  2 2 2

Cell and atoms:
Lattice parameters (Å, degrees): 6.3526 6.3526 6.3526 90.00 90.00 90.00
Space group Pm-3n (No. 223)
One atom of each set of equivalent atoms:
Nd  0.0000  0.0000  0.0000 (multiplicity 2)
Mn  0.0000  0.2500  0.5000 (multiplicity 6)
Si  0.0000  0.5000  0.2500 (multiplicity 6)

---

Record 5
For CaEr2Te4, a DFT-relaxed cell (PBE, Alexandria) gives the simulated powder diffraction line list in this record (Cu Kα).
Kinematic intensities with the Lorentz-polarization factor, no thermal factor.

Largest 10 diffraction maxima, in order of falling intensity, 5 to 70 degrees two-theta:
2θ (°)  I_rel  hkl
28.5  100  2 2 0
41.2  73  2 2 4
29.1  47  0 0 4
12.3  28  0 1 1
67.1  25  6 2 0
50.6  20  0 4 4
51.1  19  4 0 4
40.5  19  0 4 0
41.0  19  4 0 0
12.4  17  1 0 1

Cell and atoms:
Lattice parameters (Å, degrees): 8.8017 8.9170 12.2781 90.00 90.00 90.00
Space group Imma (No. 74)
One atom of each set of equivalent atoms:
Ca  0.0000  0.0000  0.0000 (multiplicity 4)
Er  0.0000  0.0000  0.5000 (multiplicity 4)
Er  0.2500  0.2500  0.2500 (multiplicity 4)
Te  0.0000  0.0086  0.2539 (multiplicity 8)
Te  0.2421  0.2500  0.5030 (multiplicity 8)

---

Record 6
For BaAgPdF6, a DFT-relaxed cell (PBE, Alexandria) gives the simulated powder diffraction line list in this record (Cu Kα).
Kinematic intensities with the Lorentz-polarization factor, no thermal factor.

Largest 10 diffraction maxima, in order of falling intensity, 5 to 70 degrees two-theta:
2θ (°)  I_rel  hkl
26.0  100  1 0 -1
26.4  99  1 -1 0
26.6  97  1 1 1
29.4  74  0 1 -1
39.7  71  1 0 2
30.1  63  0 1 2
30.9  61  0 2 1
40.4  53  1 2 0
41.3  50  -1 2 2
53.6  32  0 3 0

Cell and atoms:
Lattice parameters (Å, degrees): 4.4950 5.7840 5.9422 62.53 89.97 89.71
Space group P1 (No. 1)
One atom of each set of equivalent atoms:
Ba  0.0000  0.0000  0.0000 (multiplicity 1)
Ag  0.5944  0.6594  0.6854 (multiplicity 1)
Pd  0.2827  0.3313  0.3435 (multiplicity 1)
F  0.0285  0.5525  0.9840 (multiplicity 1)
F  0.0415  0.4420  0.5595 (multiplicity 1)
F  0.0460  0.0066  0.4474 (multiplicity 1)
F  0.5054  0.6635  0.2574 (multiplicity 1)
F  0.5073  0.2297  0.1087 (multiplicity 1)
F  0.5090  0.0605  0.7138 (multiplicity 1)

---

Record 7
For LiTlBr4, a DFT-relaxed cell (PBE, Alexandria) gives the simulated powder diffraction line list in this record (Cu Kα).
Kinematic intensities with the Lorentz-polarization factor, no thermal factor.

Largest 10 diffraction maxima, in order of falling intensity, 5 to 70 degrees two-theta:
2θ (°)  I_rel  hkl
25.6  100  1 1 2
16.2  82  1 0 1
43.1  45  2 0 4
48.8  33  3 1 2
40.9  27  2 2 0
33.0  26  2 1 1
20.1  22  1 1 0
27.6  20  1 0 3
32.7  18  2 0 2
40.1  18  1 2 3

Cell and atoms:
Lattice parameters (Å, degrees): 6.2451 6.2451 11.3423 90.00 90.00 90.00
Space group I-4 (No. 82)
One atom of each set of equivalent atoms:
Li  0.0000  0.0000  0.0000 (multiplicity 2)
Tl  0.0000  0.5000  0.2500 (multiplicity 2)
Br  0.2419  0.2523  0.1175 (multiplicity 8)

---

Record 8
For Ba2ScPa3O12, a DFT-relaxed cell (PBE, Alexandria) gives the simulated powder diffraction line list in this record (Cu Kα).
Kinematic intensities with the Lorentz-polarization factor, no thermal factor.

Largest 10 diffraction maxima, in order of falling intensity, 5 to 70 degrees two-theta:
2θ (°)  I_rel  hkl
25.8  100  0 2 1
26.2  95  1 1 3
15.8  72  0 1 2
35.1  71  2 0 5
27.1  51  2 0 2
44.7  45  2 2 0
54.0  42  2 2 6
14.3  37  0 0 3
28.8  37  0 0 6
13.5  36  1 0 1

Cell and atoms:
Lattice parameters (Å, degrees): 8.1129 8.1129 18.6143 90.00 90.00 120.00
Space group R-3m (No. 166, hexagonal axes)
One atom of each set of equivalent atoms:
Ba  0.0000  0.0000  0.1793 (multiplicity 6)
Sc  0.0000  0.0000  0.5000 (multiplicity 3)
Pa  0.0000  0.5000  0.0000 (multiplicity 9)
O  0.0763  0.5381  0.1073 (multiplicity 18)
O  0.0933  0.5466  0.3707 (multiplicity 18)

---

Record 9
For LiAl4Cd2O8, a DFT-relaxed cell (PBE, Alexandria) gives the simulated powder diffraction line list in this record (Cu Kα).
Kinematic intensities with the Lorentz-polarization factor, no thermal factor.

Largest 10 diffraction maxima, in order of falling intensity, 5 to 70 degrees two-theta:
2θ (°)  I_rel  hkl
28.5  100  2 2 0
33.6  87  3 1 1
53.8  40  5 1 1
59.0  35  4 4 0
50.5  34  4 2 2
44.6  19  3 3 1
17.4  19  1 1 1
66.8  12  6 2 0
69.7  10  5 3 3
62.0  6  5 3 1

Cell and atoms:
Lattice parameters (Å, degrees): 8.8519 8.8519 8.8519 90.00 90.00 90.00
Space group F-43m (No. 216)
One atom of each set of equivalent atoms:
Li  0.0000  0.0000  0.0000 (multiplicity 4)
Al  0.1360  0.1360  0.1360 (multiplicity 16)
Cd  0.0000  0.0000  0.5000 (multiplicity 4)
Cd  0.2500  0.2500  0.7500 (multiplicity 4)
O  0.1069  0.1069  0.8931 (multiplicity 16)
O  0.1476  0.1476  0.3524 (multiplicity 16)